# ThMnBr6
Calculated PXRD pattern, a wavelength of 1.5418 Å. Input: DFT lattice parameters and positions (GGA-PBE).
Kinematic intensities with the Lorentz-polarization factor, no thermal factor.

Structural model:
Lattice parameters (Å, degrees): 7.0372 7.0372 19.1154 90.00 90.00 120.00
Space group R-3 (No. 148, hexagonal axes)
Unique sites:
Th 0.0000 0.0000 0.0000 (multiplicity 3)
Mn 0.0000 0.0000 0.5000 (multiplicity 3)
Br 0.0111 0.6519 0.2474 (multiplicity 18)

Peak list (10 most intense, 2θ from 15° to 90°, in order of rising 2θ)
| 2theta | intensity |
| --- | --- |
| 15.26 | 22 |
| 17.26 | 83 |
| 23.66 | 24 |
| 28.99 | 100 |
| 34.92 | 18 |
| 38.10 | 63 |
| 44.60 | 42 |
| 50.17 | 19 |
| 60.08 | 15 |
| 75.90 | 16 |

=====

# NaTbSe2O6
Calculated PXRD pattern, a wavelength of 1.5418 Å. Input: DFT lattice parameters and positions (GGA-PBE).
Kinematic intensities with the Lorentz-polarization factor, no thermal factor.

Structural model:
Lattice parameters (Å, degrees): 5.4422 5.4422 17.9992 90.00 90.00 120.00
Space group R-3 (No. 148, hexagonal axes)
Unique sites:
Na 0.0000 0.0000 0.0000 (multiplicity 3)
Tb 0.0000 0.0000 0.5000 (multiplicity 3)
Se 0.0000 0.0000 0.2811 (multiplicity 6)
O 0.0178 0.7178 0.2422 (multiplicity 18)

Peak list (10 most intense, 2θ from 15° to 90°, in order of rising 2θ)
| 2theta | intensity |
| --- | --- |
| 19.47 | 66 |
| 27.40 | 100 |
| 31.27 | 47 |
| 32.92 | 55 |
| 43.34 | 21 |
| 46.03 | 20 |
| 55.48 | 23 |
| 57.16 | 25 |
| 57.74 | 18 |
| 58.78 | 19 |